The following is a simulated PXRD pattern of Li2V2O5F2. It was derived from a structure optimized by DFT (GGA+U), using Cu Kα (λ = 1.5418 Å).

Peak list (10 most intense, 2θ = 5–70°, low angle first)
2theta, Rel. int.
15.04, 100.0
17.72, 68.3
23.72, 19.1
25.88, 31.1
28.85, 75.9
29.18, 30.2
30.34, 43.5
30.67, 18.5
32.70, 17.4
46.23, 20.7

Structure:
```
data_Li2V2O5F2
_chemical_formula_sum 'Li8 V8 O20 F8'
_space_group_name_H-M_alt 'C 1 c 1'
_space_group_IT_number 9
_space_group_name_Hall 'C -2yc'
_cell_length_a 11.8004
_cell_length_b 7.1898
_cell_length_c 7.0248
_cell_angle_alpha 90.00
_cell_angle_beta 119.38
_cell_angle_gamma 90.00
loop_
_atom_site_label
_atom_site_type_symbol
_atom_site_fract_x
_atom_site_fract_y
_atom_site_fract_z
Li1 Li 0.0000 0.0131 0.0000
Li2 Li 0.3938 0.2220 0.6947
V1 V 0.1089 0.4677 0.6418
V2 V 0.3284 0.2157 0.0965
O1 O 0.0754 0.4299 0.3326
O2 O 0.2105 0.3399 0.1417
O3 O 0.2284 0.3100 0.7943
O4 O 0.2749 0.0010 0.0636
O5 O 0.4642 0.1990 0.0350
F1 F 0.4362 0.4762 0.6979
F2 F 0.4428 0.2101 0.4101
```

The following is a simulated PXRD pattern of Li4V4O3F9. It was derived from a structure optimized by DFT (GGA+U), using Cu Kα (λ = 1.5418 Å).

Peak list (10 most intense, 2θ = 5–70°, low angle first)
2theta, Rel. int.
23.04, 48.9
23.59, 100.0
32.01, 18.8
32.26, 38.8
39.00, 12.0
39.57, 12.2
48.26, 17.9
52.57, 27.9
52.83, 11.1
60.97, 14.1

Structure:
```
data_Li4V4O3F9
_chemical_formula_sum 'Li4 V4 O3 F9'
_space_group_name_H-M_alt 'P 1'
_space_group_IT_number 1
_space_group_name_Hall 'P 1'
_cell_length_a 5.1430
_cell_length_b 5.5861
_cell_length_c 9.1222
_cell_angle_alpha 106.41
_cell_angle_beta 90.38
_cell_angle_gamma 116.99
loop_
_atom_site_label
_atom_site_type_symbol
_atom_site_fract_x
_atom_site_fract_y
_atom_site_fract_z
Li1 Li 0.0000 0.0000 0.0000
Li2 Li 0.2034 0.3707 0.7147
Li3 Li 0.4630 0.9902 0.4926
Li4 Li 0.7787 0.5238 0.2365
V1 V 0.0698 0.1277 0.3443
V2 V 0.3639 0.6254 0.0884
V3 V 0.5559 0.1343 0.8528
V4 V 0.7872 0.6104 0.5919
O1 O 0.3522 0.3167 0.5259
O2 O 0.3544 0.3478 0.9028
O3 O 0.7692 0.8560 0.1578
F1 F 0.2341 0.8306 0.2820
F2 F 0.2584 0.8640 0.6560
F3 F 0.3036 0.8669 0.9666
F4 F 0.3435 0.3491 0.2073
F5 F 0.7408 0.8701 0.8007
F6 F 0.7727 0.8708 0.4630
F7 F 0.8183 0.3442 0.7188
F8 F 0.8735 0.3768 0.3891
F9 F 0.8886 0.3605 0.0435
```